No. 1
# Th4OsPb
Calculated XRD peak list, λ = 1.5418 Å (Cu Kα). Input: a DFT-relaxed cell (PBE, Alexandria).

Structural model:
a b c (Å): 7.5158 7.5158 6.1818
angles (deg): 90.00 90.00 90.00
Fractional positions:
Th  0.1393  0.3180  0.0000
Th  0.1393  0.6820  0.5000
Th  0.3180  0.1393  0.5000
Th  0.3180  0.8607  0.0000
Th  0.6820  0.1393  0.0000
Th  0.6820  0.8607  0.5000
Th  0.8607  0.3180  0.5000
Th  0.8607  0.6820  0.0000
Os  0.0000  0.0000  0.2500
Os  0.0000  0.0000  0.7500
Pb  0.5000  0.5000  0.2500
Pb  0.5000  0.5000  0.7500

Largest 10 diffraction maxima, by angle, 10 to 80 degrees two-theta:
2θ (°)  intensity
30.27  100
33.54  35
33.73  11
37.68  38
37.85  44
52.06  23
52.33  12
57.39  15
60.21  22
73.03  13



No. 2
# Tl4TeH4
Calculated XRD peak list, λ = 1.5418 Å (Cu Kα). Input: a DFT-relaxed cell (PBE, Alexandria).

Structural model:
a b c (Å): 6.9951 6.9951 6.9951
angles (deg): 94.92 94.92 145.96
Fractional positions:
Tl  0.0817  0.2697  0.3514
Tl  0.2697  0.9183  0.1879
Tl  0.7303  0.0817  0.8121
Tl  0.9183  0.7303  0.6486
Te  0.5000  0.5000  0.0000
H  0.1322  0.6468  0.7790
H  0.3532  0.1322  0.4854
H  0.6468  0.8678  0.5146
H  0.8678  0.3532  0.2210

Largest 10 diffraction maxima, by angle, 10 to 80 degrees two-theta:
2θ (°)  intensity
23.67  7
29.87  54
30.38  100
42.75  16
44.23  10
45.31  10
53.34  30
54.29  21
63.20  10
72.80  8